Structure and theoretical XRD peak list of Mg14ZrMo (a GGA-PBE-relaxed structure; Cu Kα X-rays).
Kinematic intensities with the Lorentz-polarization factor, no thermal factor.

Main lines, by angle (2θ = 15–90°):
hkl 1 0 0, 5.492 Å, 16.14°, I = 38.9
hkl 1 0 2, 3.701 Å, 24.04°, I = 24.1
hkl 2 0 0, 2.746 Å, 32.61°, I = 28.6
hkl 0 0 4, 2.505 Å, 35.85°, I = 24.2
hkl 2 0 2, 2.408 Å, 37.35°, I = 100.0
hkl 2 0 4, 1.851 Å, 49.24°, I = 17.2
hkl 2 2 0, 1.585 Å, 58.20°, I = 16.9
hkl 2 0 6, 1.427 Å, 65.41°, I = 17.5
hkl 2 2 4, 1.340 Å, 70.27°, I = 18.3
hkl 4 0 2, 1.324 Å, 71.22°, I = 13.6

Crystal structure
Cell: 6.3411 6.3411 10.0202 Å, 90.00 90.00 120.00°
Space group P-6m2 (No. 187)
Asymmetric unit:
Mg (0.0000, 0.0000, 0.2444) [2 per cell]
Mg (0.0146, 0.5073, 0.2596) [6 per cell]
Mg (0.3315, 0.1658, 0.5000) [3 per cell]
Mg (0.3411, 0.1705, 0.0000) [3 per cell]
Zr (0.3333, 0.6667, 0.0000) [1 per cell]
Mo (0.3333, 0.6667, 0.5000) [1 per cell]

---

Structure and theoretical XRD peak list of Li2U2O5 (a GGA-PBE-relaxed structure; Cu Kα X-rays).
Kinematic intensities with the Lorentz-polarization factor, no thermal factor.

Main lines, by angle (2θ = 15–90°):
hkl 0 0 2, 4.187 Å, 21.22°, I = 53.2
hkl 1 0 0, 4.103 Å, 21.66°, I = 100.0
hkl 1 0 2, 2.931 Å, 30.50°, I = 81.1
hkl 1 1 0, 2.901 Å, 30.82°, I = 33.9
hkl 1 1 2, 2.385 Å, 37.72°, I = 35.5
hkl 2 0 0, 2.051 Å, 44.15°, I = 22.3
hkl 1 0 4, 1.865 Å, 48.84°, I = 23.2
hkl 2 0 2, 1.842 Å, 49.48°, I = 23.4
hkl 2 1 0, 1.835 Å, 49.69°, I = 22.9
hkl 2 1 2, 1.681 Å, 54.61°, I = 33.4

Crystal structure
Cell: 4.1030 4.1030 8.3745 Å, 90.00 90.00 90.00°
Space group P4/mmm (No. 123)
Asymmetric unit:
Li (0.0000, 0.0000, 0.0000) [1 per cell]
Li (0.0000, 0.0000, 0.5000) [1 per cell]
U (0.5000, 0.5000, 0.2425) [2 per cell]
O (0.0000, 0.5000, 0.1731) [4 per cell]
O (0.5000, 0.5000, 0.5000) [1 per cell]